# 1
Nd5Si2H: simulated powder X-ray diffraction pattern (Cu Kα (weighted mean of Kα1 and Kα2)), based on a crystal structure in Alexandria, relaxed with GGA-PBE.

Structure:
```
8
Lattice="0.0000 4.9233 4.2754 4.9113 0.0000 4.2754 4.9113 4.9233 0.0000" Properties=species:S:1:pos:R:3 pbc="T T T"
Nd 0.0000 0.0000 0.0000
Nd 4.9113 2.4638 6.3711
Nd 7.3637 4.9233 6.3717
Nd 2.4589 4.9233 6.3717
Nd 4.9113 7.3828 6.3711
Si 2.4556 2.4616 4.2466
Si 7.3669 7.3849 8.5220
H 4.9113 4.9233 2.3416
```

Largest 8 diffraction maxima, by angle, 10 to 90 degrees two-theta:
2θ 16.43, rel. 19; 2θ 20.78, rel. 19; 2θ 25.62, rel. 22; 2θ 33.21, rel. 100; 2θ 36.55, rel. 39; 2θ 42.31, rel. 19; 2θ 57.09, rel. 21; 2θ 63.62, rel. 15

***

# 2
NdSm4H10: simulated powder X-ray diffraction pattern (Cu Kα (weighted mean of Kα1 and Kα2)), based on a crystal structure in Alexandria, relaxed with GGA-PBE.

Structure:
```
15
Lattice="1.9051 1.0999 15.5676 -1.9051 1.0999 15.5676 0.0000 -2.1999 15.5676" Properties=species:S:1:pos:R:3 pbc="T T T"
Nd 0.0000 0.0000 0.0000
Sm 0.0000 0.0000 9.3329
Sm 0.0000 0.0000 18.7095
Sm 0.0000 0.0000 27.9934
Sm 0.0000 0.0000 37.3700
H 0.0000 0.0000 2.3738
H 0.0000 0.0000 7.0059
H 0.0000 0.0000 11.6575
H 0.0000 0.0000 16.3922
H 0.0000 0.0000 21.0371
H 0.0000 0.0000 25.6658
H 0.0000 0.0000 30.3107
H 0.0000 0.0000 35.0454
H 0.0000 0.0000 39.6969
H 0.0000 0.0000 44.3291
```

Largest 8 diffraction maxima, by angle, 10 to 90 degrees two-theta:
2θ 28.69, rel. 100; 2θ 33.24, rel. 49; 2θ 47.73, rel. 38; 2θ 56.64, rel. 45; 2θ 59.40, rel. 13; 2θ 77.14, rel. 18; 2θ 79.53, rel. 16; 2θ 88.97, rel. 13

***

# 3
TbNd2H8: simulated powder X-ray diffraction pattern (Cu Kα (weighted mean of Kα1 and Kα2)), based on a crystal structure in Alexandria, relaxed with GGA-PBE.

Structure:
```
11
Lattice="-1.8997 2.6400 5.6864 1.8997 -2.6400 5.6864 1.8997 2.6400 -5.6864" Properties=species:S:1:pos:R:3 pbc="T T T"
Tb 0.0000 0.0000 0.0000
Nd 0.0000 0.0000 3.7702
Nd 0.0000 0.0000 7.6026
H 1.8997 -1.2917 3.9156
H 1.8997 0.0000 1.8589
H 1.8997 1.3500 0.0000
H 0.0000 1.3483 1.7708
H 1.8997 1.2917 3.9156
H 0.0000 1.2900 5.6864
H 0.0000 2.6400 3.8275
H 0.0000 3.9317 1.7708
```

Largest 8 diffraction maxima, by angle, 10 to 90 degrees two-theta:
2θ 28.97, rel. 100; 2θ 33.39, rel. 34; 2θ 33.96, rel. 16; 2θ 48.36, rel. 26; 2θ 56.99, rel. 30; 2θ 57.74, rel. 15; 2θ 60.04, rel. 13; 2θ 78.25, rel. 12

***

# 4
TbNdH4: simulated powder X-ray diffraction pattern (Cu Kα (weighted mean of Kα1 and Kα2)), based on a crystal structure in Alexandria, relaxed with GGA-PBE.

Structure:
```
6
Lattice="3.7746 0.0000 0.0000 0.0000 3.7746 0.0000 0.0000 0.0000 5.3645" Properties=species:S:1:pos:R:3 pbc="T T T"
Tb 0.0000 0.0000 0.0000
Nd 1.8873 1.8873 2.6823
H 0.0000 1.8873 1.2686
H 0.0000 1.8873 4.0960
H 1.8873 0.0000 1.2686
H 1.8873 0.0000 4.0960
```

Largest 8 diffraction maxima, by angle, 10 to 90 degrees two-theta:
2θ 28.92, rel. 100; 2θ 33.41, rel. 16; 2θ 33.58, rel. 32; 2θ 48.09, rel. 25; 2θ 48.22, rel. 13; 2θ 56.99, rel. 15; 2θ 57.21, rel. 29; 2θ 59.93, rel. 13